(1)
Structure and computed powder X-ray diffraction pattern of TcSnP (a crystal structure in Alexandria, relaxed with PBE; Cu Ka).

```
TcSnP
1.0
6.1158 -1.5918 0.0000
6.1158 1.5918 0.0000
-0.7020 0.0000 5.6271
Tc Sn P
2 2 2
Cartesian
0.0000 0.0000 0.0000 Tc
2.5004 0.0000 1.7346 Tc
1.6695 0.0000 4.3685 Sn
4.7444 0.0000 3.4559 Sn
6.6603 0.0000 1.6328 P
10.0698 0.0000 0.7833 P
```

Most intense lines, 5 to 70 degrees two-theta, by intensity:
| d/Å | 2θ/deg | I (rel.) |
| --- | --- | --- |
| 1.945 | 46.70 | 100.0 |
| 2.666 | 33.61 | 92.2 |
| 3.079 | 29.00 | 86.1 |
| 2.440 | 36.84 | 77.4 |
| 1.930 | 47.08 | 68.9 |
| 2.820 | 31.73 | 56.1 |
| 3.034 | 29.44 | 52.1 |
| 2.682 | 33.40 | 42.3 |
| 2.045 | 44.28 | 41.7 |
| 2.224 | 40.57 | 40.1 |

=====

(2)
Structure and computed powder X-ray diffraction pattern of TcSnP (a crystal structure in Alexandria, relaxed with PBE; Cu Ka).

```
TcSnP
1.0
3.2547 0.0000 0.0000
0.5297 4.9534 0.0000
1.3621 1.9997 6.5594
Tc Sn P
2 2 2
Cartesian
0.9899 1.2429 1.8629 Tc
4.1566 5.7101 4.6965 Tc
1.1629 3.7001 0.5380 Sn
3.9836 3.2530 6.0214 Sn
2.4995 4.6089 3.3918 P
2.6470 2.3441 3.1676 P
```

Most intense lines, 5 to 70 degrees two-theta, by intensity:
| d/Å | 2θ/deg | I (rel.) |
| --- | --- | --- |
| 2.390 | 37.64 | 100.0 |
| 2.509 | 35.78 | 83.5 |
| 2.692 | 33.28 | 70.8 |
| 2.251 | 40.06 | 56.5 |
| 2.470 | 36.37 | 56.0 |
| 6.559 | 13.50 | 41.4 |
| 2.369 | 37.98 | 33.1 |
| 3.083 | 28.96 | 26.5 |
| 2.266 | 39.77 | 26.5 |
| 2.051 | 44.16 | 26.3 |

=====

(3)
Structure and computed powder X-ray diffraction pattern of Th8SnTe4P3 (a crystal structure in Alexandria, relaxed with PBE; Cu Ka).

```
Th8SnTe4P3
1.0
4.2806 2.4714 7.4279
-4.2806 2.4714 7.4279
0.0000 -4.9428 7.4279
Th Sn Te P
8 1 4 3
Cartesian
-2.2770 -1.3146 12.7320 Th
0.0000 0.0000 5.2424 Th
0.0000 -2.6292 9.5517 Th
-2.2770 1.3146 9.5517 Th
2.2770 -1.3146 12.7320 Th
0.0000 2.6292 12.7320 Th
0.0000 0.0000 17.0412 Th
2.2770 1.3146 9.5517 Th
0.0000 0.0000 11.1418 Sn
0.0000 0.0000 0.0000 Te
-2.1403 -1.2357 7.4279 Te
-2.1403 1.2357 14.8558 Te
0.0000 2.4714 7.4279 Te
-4.2806 0.0000 11.1418 P
-2.1403 1.2357 3.7139 P
2.1403 1.2357 3.7139 P
```

Most intense lines, 5 to 70 degrees two-theta, by intensity:
| d/Å | 2θ/deg | I (rel.) |
| --- | --- | --- |
| 3.086 | 28.93 | 100.0 |
| 2.140 | 42.22 | 37.7 |
| 2.227 | 40.51 | 32.5 |
| 3.517 | 25.32 | 25.2 |
| 1.759 | 52.00 | 18.9 |
| 1.359 | 69.13 | 15.3 |
| 2.850 | 31.39 | 13.2 |
| 1.619 | 56.86 | 10.9 |
| 1.855 | 49.10 | 9.9 |
| 1.543 | 59.95 | 9.8 |

=====

(4)
Structure and computed powder X-ray diffraction pattern of Ti2SnP (a crystal structure in Alexandria, relaxed with PBE; Cu Ka).

```
Ti2SnP
1.0
1.7159 0.9907 7.1048
-1.7159 0.9907 7.1048
0.0000 -1.9814 7.1048
Ti Sn P
2 1 1
Cartesian
0.0000 0.0000 0.0000 Ti
0.0000 0.0000 4.3651 Ti
0.0000 0.0000 16.4173 Sn
0.0000 0.0000 12.8326 P
```

Most intense lines, 5 to 70 degrees two-theta, by intensity:
| d/Å | 2θ/deg | I (rel.) |
| --- | --- | --- |
| 2.438 | 36.87 | 100.0 |
| 2.596 | 34.56 | 58.9 |
| 1.716 | 53.39 | 43.3 |
| 2.944 | 30.37 | 40.8 |
| 2.863 | 31.24 | 36.3 |
| 2.127 | 42.50 | 32.8 |
| 7.105 | 12.46 | 23.8 |
| 1.390 | 67.39 | 21.8 |
| 2.368 | 37.99 | 20.1 |
| 1.403 | 66.65 | 16.8 |

=====

(5)
Structure and computed powder X-ray diffraction pattern of Ti6SnP (a crystal structure in Alexandria, relaxed with PBE; Cu Ka).

```
Ti6SnP
1.0
4.3588 2.5166 2.2490
-4.3588 2.5166 2.2490
0.0000 -5.0331 2.2490
Ti Sn P
6 1 1
Cartesian
0.0000 -2.1597 2.4314 Ti
-1.8703 1.0798 2.4314 Ti
-1.8703 -1.0798 4.3156 Ti
1.8703 1.0798 2.4314 Ti
1.8703 -1.0798 4.3156 Ti
0.0000 2.1597 4.3156 Ti
0.0000 0.0000 0.0000 Sn
0.0000 0.0000 3.3735 P
```

Most intense lines, 5 to 70 degrees two-theta, by intensity:
| d/Å | 2θ/deg | I (rel.) |
| --- | --- | --- |
| 2.179 | 41.44 | 100.0 |
| 2.628 | 34.12 | 56.0 |
| 3.080 | 28.99 | 33.0 |
| 1.565 | 59.02 | 17.6 |
| 2.249 | 40.09 | 14.3 |
| 1.452 | 64.12 | 14.3 |
| 5.031 | 17.63 | 13.4 |
| 4.359 | 20.37 | 11.8 |
| 1.378 | 68.02 | 11.3 |
| 1.473 | 63.09 | 10.8 |

=====

(6)
Structure and computed powder X-ray diffraction pattern of Ti4Sn2P (a crystal structure in Alexandria, relaxed with PBE; Cu Ka).

```
Ti4Sn2P
1.0
7.6893 0.0000 0.0000
0.0000 10.4221 0.0000
0.0000 0.0000 3.2803
Ti Sn P
8 4 2
Cartesian
1.1019 2.1199 0.0000 Ti
1.4885 9.5078 1.6402 Ti
2.3561 4.2968 1.6402 Ti
2.7427 7.3309 0.0000 Ti
4.9466 3.0912 0.0000 Ti
5.3331 6.1253 1.6402 Ti
6.2008 0.9143 1.6402 Ti
6.5874 8.3022 0.0000 Ti
0.5219 6.6347 1.6402 Sn
3.3227 1.4236 1.6402 Sn
4.3666 8.9985 1.6402 Sn
7.1674 3.7874 1.6402 Sn
0.0000 0.0000 0.0000 P
3.8446 5.2110 0.0000 P
```

Most intense lines, 5 to 70 degrees two-theta, by intensity:
| d/Å | 2θ/deg | I (rel.) |
| --- | --- | --- |
| 2.427 | 37.04 | 100.0 |
| 2.898 | 30.85 | 65.8 |
| 2.040 | 44.40 | 56.3 |
| 2.300 | 39.17 | 55.3 |
| 2.278 | 39.56 | 49.5 |
| 1.883 | 48.33 | 44.1 |
| 3.166 | 28.19 | 43.6 |
| 2.578 | 34.81 | 42.4 |
| 3.280 | 27.18 | 37.1 |
| 1.640 | 56.09 | 27.8 |

=====

(7)
Structure and computed powder X-ray diffraction pattern of Tl2Sn2P (a crystal structure in Alexandria, relaxed with PBE; Cu Ka).

```
Tl2Sn2P
1.0
7.2200 0.0000 0.0000
0.0000 7.2200 0.0000
0.0000 0.0000 5.5222
Tl Sn P
4 4 2
Cartesian
1.2520 2.3580 0.0000 Tl
2.3580 5.9680 0.0000 Tl
4.8620 1.2520 0.0000 Tl
5.9680 4.8620 0.0000 Tl
1.0881 4.6981 2.7611 Sn
2.5219 1.0881 2.7611 Sn
4.6981 6.1319 2.7611 Sn
6.1319 2.5219 2.7611 Sn
0.0000 0.0000 2.7611 P
3.6100 3.6100 2.7611 P
```

Most intense lines, 5 to 70 degrees two-theta, by intensity:
| d/Å | 2θ/deg | I (rel.) |
| --- | --- | --- |
| 2.787 | 32.11 | 100.0 |
| 2.761 | 32.43 | 24.2 |
| 1.669 | 55.01 | 19.9 |
| 1.599 | 57.64 | 19.5 |
| 3.610 | 24.66 | 15.8 |
| 2.283 | 39.47 | 15.4 |
| 1.760 | 51.97 | 14.1 |
| 1.449 | 64.30 | 10.7 |
| 3.022 | 29.56 | 9.0 |
| 1.702 | 53.87 | 9.0 |

=====

(8)
Structure and computed powder X-ray diffraction pattern of TlSnP (a crystal structure in Alexandria, relaxed with PBE; Cu Ka).

```
TlSnP
1.0
1.9600 -9.0000 0.0000
1.9600 9.0000 0.0000
0.0000 0.0000 5.2834
Tl Sn P
2 2 2
Cartesian
1.9600 7.8290 2.6417 Tl
1.9600 -7.8290 0.0000 Tl
1.9600 3.2200 1.7505 Sn
1.9600 -3.2200 4.3922 Sn
1.9600 5.6461 0.8080 P
1.9600 -5.6461 3.4498 P
```

Most intense lines, 5 to 70 degrees two-theta, by intensity:
| d/Å | 2θ/deg | I (rel.) |
| --- | --- | --- |
| 3.426 | 26.01 | 100.0 |
| 3.101 | 28.79 | 52.8 |
| 2.788 | 32.11 | 48.3 |
| 3.830 | 23.22 | 33.0 |
| 2.175 | 41.53 | 32.9 |
| 1.701 | 53.88 | 30.4 |
| 4.556 | 19.48 | 27.2 |
| 3.282 | 27.17 | 26.6 |
| 2.370 | 37.97 | 25.4 |
| 1.477 | 62.90 | 24.2 |

=====

(9)
Structure and computed powder X-ray diffraction pattern of TlSnP (a crystal structure in Alexandria, relaxed with PBE; Cu Ka).

```
TlSnP
1.0
3.9554 0.0000 0.0000
-1.9777 3.4255 0.0000
0.0000 0.0000 6.0821
Tl Sn P
1 1 1
Cartesian
0.0000 0.0000 0.0000 Tl
0.0000 2.2837 3.4372 Sn
1.9777 1.1418 2.1029 P
```

Most intense lines, 5 to 70 degrees two-theta, by intensity:
| d/Å | 2θ/deg | I (rel.) |
| --- | --- | --- |
| 2.985 | 29.94 | 100.0 |
| 2.274 | 39.63 | 26.2 |
| 1.978 | 45.88 | 24.1 |
| 3.425 | 26.01 | 18.5 |
| 1.649 | 55.76 | 17.9 |
| 1.658 | 55.42 | 17.7 |
| 3.041 | 29.37 | 16.7 |
| 1.745 | 52.45 | 16.0 |
| 1.390 | 67.38 | 7.5 |
| 1.492 | 62.21 | 7.1 |

=====

(10)
Structure and computed powder X-ray diffraction pattern of ZnSn2P3 (a crystal structure in Alexandria, relaxed with PBE; Cu Ka).

```
ZnSn2P3
1.0
3.5065 -6.1296 0.0000
3.5065 6.1296 0.0000
-2.7438 0.0000 6.9834
Zn Sn P
2 4 6
Cartesian
2.1346 5.1313 3.4917 Zn
3.5065 -5.1313 0.0000 Zn
3.5227 3.1869 0.0230 Sn
2.2439 1.0145 3.4342 Sn
0.8719 -1.0145 6.9259 Sn
2.1508 -3.1869 3.5148 Sn
1.0665 3.1432 4.3956 P
2.2940 1.0427 0.8044 P
0.9221 -1.0427 4.2961 P
2.4384 -3.1432 0.9039 P
4.5389 0.8544 4.5746 P
5.9108 -0.8544 1.0829 P
```

Most intense lines, 5 to 70 degrees two-theta, by intensity:
| d/Å | 2θ/deg | I (rel.) |
| --- | --- | --- |
| 3.375 | 26.41 | 100.0 |
| 3.492 | 25.51 | 51.3 |
| 3.264 | 27.33 | 49.8 |
| 2.133 | 42.37 | 42.1 |
| 2.042 | 44.36 | 37.8 |
| 2.027 | 44.72 | 36.2 |
| 2.888 | 30.97 | 31.5 |
| 1.779 | 51.37 | 17.9 |
| 2.992 | 29.87 | 16.5 |
| 1.792 | 50.95 | 16.1 |

=====

(11)
Structure and computed powder X-ray diffraction pattern of Sr7P (a crystal structure in Alexandria, relaxed with PBE; Cu Ka).

```
Sr7P
1.0
0.0000 5.6692 5.6692
5.6692 0.0000 5.6692
5.6692 5.6692 0.0000
Sr P
7 1
Cartesian
0.0000 0.0000 0.0000 Sr
2.8346 2.8346 0.0000 Sr
2.8346 0.0000 2.8346 Sr
5.6692 2.8346 2.8346 Sr
0.0000 2.8346 2.8346 Sr
2.8346 5.6692 2.8346 Sr
2.8346 2.8346 5.6692 Sr
5.6692 5.6692 5.6692 P
```

Most intense lines, 5 to 70 degrees two-theta, by intensity:
| d/Å | 2θ/deg | I (rel.) |
| --- | --- | --- |
| 3.273 | 27.25 | 100.0 |
| 2.835 | 31.56 | 51.1 |
| 1.709 | 53.62 | 44.4 |
| 2.004 | 45.24 | 36.9 |
| 1.637 | 56.21 | 12.8 |
| 1.417 | 65.90 | 6.0 |
| 6.546 | 13.53 | 3.6 |
| 3.419 | 26.06 | 2.5 |
| 5.669 | 15.63 | 2.0 |
| 4.009 | 22.18 | 1.8 |

=====

(12)
Structure and computed powder X-ray diffraction pattern of Sr3P2 (a crystal structure in Alexandria, relaxed with PBE; Cu Ka).

```
Sr3P2
1.0
-4.6893 4.6893 13.9890
4.6893 -4.6893 13.9890
4.6893 4.6893 -13.9890
Sr P
24 16
Cartesian
2.8808 -0.6263 3.9053 Sr
5.3156 -1.8085 10.0837 Sr
3.9294 1.5465 0.5452 Sr
1.5465 -0.7599 7.5397 Sr
4.0630 2.8808 -3.0892 Sr
6.4978 0.6263 3.9053 Sr
0.5480 1.7989 1.8013 Sr
3.1428 5.4492 -6.4493 Sr
3.1428 -0.7599 13.4438 Sr
0.5480 2.8904 5.1932 Sr
1.8085 -0.6263 17.0781 Sr
4.0630 1.8085 10.0837 Sr
1.5465 5.4492 -0.5452 Sr
3.9294 3.1428 6.4493 Sr
0.6263 1.8085 10.8998 Sr
2.8808 5.3156 3.0892 Sr
-1.7989 4.1413 8.7957 Sr
0.7599 3.1428 14.5341 Sr
-0.5480 7.5797 1.8013 Sr
1.7989 5.2373 8.7957 Sr
-2.8904 4.1413 12.1877 Sr
-0.5480 6.4882 5.1932 Sr
0.7599 1.5465 20.4383 Sr
2.8904 5.2373 12.1877 Sr
3.2936 2.4547 -5.9505 P
0.0000 0.0000 4.5469 P
6.9240 1.3957 1.0439 P
1.3957 2.4547 -1.0439 P
2.3447 -1.1373 10.4917 P
3.5520 2.3447 3.4972 P
2.3447 5.8266 -3.4972 P
1.3957 2.2347 8.0384 P
2.2347 -1.3957 19.9395 P
0.0000 4.6893 2.4475 P
3.2936 2.2347 12.9450 P
0.0000 0.0000 23.4310 P
2.4547 6.0850 5.9505 P
1.1373 2.3447 17.4862 P
-2.2347 3.2936 15.0329 P
0.0000 4.6893 11.5414 P
```

Most intense lines, 5 to 70 degrees two-theta, by intensity:
| d/Å | 2θ/deg | I (rel.) |
| --- | --- | --- |
| 2.965 | 30.14 | 100.0 |
| 2.504 | 35.86 | 64.4 |
| 2.951 | 30.29 | 47.0 |
| 3.309 | 26.94 | 42.0 |
| 3.821 | 23.28 | 40.7 |
| 1.834 | 49.71 | 28.7 |
| 1.839 | 49.57 | 26.6 |
| 2.497 | 35.96 | 26.6 |
| 1.520 | 60.93 | 18.9 |
| 1.913 | 47.54 | 18.4 |